Simulated XRD peak list
Compound: Ba3UCo2O9
Radiation: Cu Kα (weighted mean of Kα1 and Kα2)
Structure: a DFT-relaxed cell (GGA+U, Alexandria)
Peak positions follow from Bragg's law for the DFT cell and can differ from measured ones.

The 8 most intense peaks (2θ = 10–90°), in order of rising 2θ:
two_theta, Rel. int., (hkl)
17.62, 18, 1 0 0
21.49, 19, 0 1 1
30.38, 100, 0 1 2
30.76, 91, 1 1 0
43.78, 58, 2 0 2
54.46, 39, 1 2 2
54.70, 18, 3 0 0
72.55, 17, 3 1 2

Atomic structure:
Cell lengths 5.8128, 5.8128, 7.2528 Å; angles 90.00, 90.00, 120.00 degrees
Space group P-3m1 (No. 164)
Unique sites:
Ba 0.0000 0.0000 0.0000 [1 per cell]
Ba 0.3333 0.6667 0.6928 [2 per cell]
U 0.0000 0.0000 0.5000 [1 per cell]
Co 0.3333 0.6667 0.1542 [2 per cell]
O 0.0000 0.5000 0.0000 [3 per cell]
O 0.1676 0.3352 0.3311 [6 per cell]